# 1
ReTeO3: theoretical powder X-ray diffraction pattern (Cu Kα (λ = 1.5418 Å)), based on the GGA-PBE geometry in Alexandria.
Intensities are scaled so that the largest is 100.

Structural model:
Unit cell a=10.3921 b=3.9415 c=10.0410 alpha=90.00 beta=112.90 gamma=90.00
Space group C2/m (No. 12)
Asymmetric unit:
Re 0.1167 0.0000 0.4343
Te 0.1520 0.5000 0.9329
O 0.0649 0.0000 0.2461
O 0.0882 0.0000 0.6125
O 0.1713 0.5000 0.4671

Largest 10 diffraction maxima, by angle, 2θ = 15–90°:
(0 0 2), 2θ = 19.19°, 4.625 Å, rel. 66; (2 0 -2), 2θ = 20.88°, 4.254 Å, rel. 75; (1 1 1), 2θ = 27.60°, 3.232 Å, rel. 100; (3 1 -1), 2θ = 34.49°, 2.600 Å, rel. 51; (2 0 -4), 2θ = 35.96°, 2.497 Å, rel. 29; (4 0 0), 2θ = 37.58°, 2.394 Å, rel. 27; (3 1 -3), 2θ = 39.13°, 2.302 Å, rel. 20; (1 1 3), 2θ = 41.05°, 2.199 Å, rel. 26; (0 2 0), 2θ = 46.06°, 1.971 Å, rel. 19; (1 1 -5), 2θ = 52.01°, 1.758 Å, rel. 22

# 2
TiRe2O: theoretical powder X-ray diffraction pattern (Cu Kα (λ = 1.5418 Å)), based on the GGA-PBE geometry in Alexandria.
Intensities are scaled so that the largest is 100.

Structural model:
Unit cell a=7.0410 b=7.0410 c=4.4020 alpha=90.00 beta=90.00 gamma=90.00
Space group I-42d (No. 122)
Asymmetric unit:
Ti 0.0000 0.0000 0.0000
Re 0.1526 0.2500 0.6250
O 0.0000 0.0000 0.5000

Largest 10 diffraction maxima, by angle, 2θ = 15–90°:
(1 0 1), 2θ = 23.84°, 3.733 Å, rel. 20; (2 0 0), 2θ = 25.30°, 3.521 Å, rel. 40; (2 1 1), 2θ = 35.04°, 2.561 Å, rel. 100; (2 2 0), 2θ = 36.08°, 2.489 Å, rel. 18; (3 1 0), 2θ = 40.51°, 2.227 Å, rel. 29; (3 0 1), 2θ = 43.71°, 2.071 Å, rel. 23; (1 1 2), 2θ = 45.03°, 2.013 Å, rel. 51; (3 2 1), 2θ = 51.17°, 1.785 Å, rel. 41; (5 1 0), 2θ = 67.88°, 1.381 Å, rel. 18; (4 0 2), 2θ = 68.22°, 1.375 Å, rel. 17

# 3
TiTlReO6: theoretical powder X-ray diffraction pattern (Cu Kα (λ = 1.5418 Å)), based on the GGA-PBE geometry in Alexandria.
Intensities are scaled so that the largest is 100.

Structural model:
Unit cell a=5.2324 b=5.2324 c=6.1341 alpha=90.00 beta=90.00 gamma=120.00
Space group P3 (No. 143)
Asymmetric unit:
Ti 0.0000 0.0000 0.0000
Tl 0.6667 0.3333 0.5717
Re 0.3333 0.6667 0.0774
O 0.0612 0.3408 0.2228
O 0.0732 0.7242 0.8654

Largest 10 diffraction maxima, by angle, 2θ = 15–90°:
(1 0 0), 2θ = 19.59°, 4.531 Å, rel. 13; (0 1 1), 2θ = 24.42°, 3.645 Å, rel. 100; (0 0 2), 2θ = 29.12°, 3.067 Å, rel. 11; (1 1 0), 2θ = 34.28°, 2.616 Å, rel. 26; (1 0 2), 2θ = 35.34°, 2.540 Å, rel. 10; (2 0 1), 2θ = 42.54°, 2.125 Å, rel. 20; (2 -1 2), 2θ = 45.57°, 1.990 Å, rel. 31; (0 1 3), 2θ = 48.87°, 1.864 Å, rel. 14; (3 -2 1), 2θ = 55.72°, 1.650 Å, rel. 21; (1 2 3), 2θ = 71.91°, 1.313 Å, rel. 10

# 4
TlRe4O12: theoretical powder X-ray diffraction pattern (Cu Kα (λ = 1.5418 Å)), based on the GGA-PBE geometry in Alexandria.
Intensities are scaled so that the largest is 100.

Structural model:
Unit cell a=7.6984 b=7.6984 c=7.6984 alpha=90.00 beta=90.00 gamma=90.00
Space group Im-3m (No. 229)
Asymmetric unit:
Tl 0.0000 0.0000 0.0000
Re 0.2500 0.2500 0.2500
O 0.0000 0.2508 0.2508

Largest 10 diffraction maxima, by angle, 2θ = 15–90°:
(1 1 0), 2θ = 16.28°, 5.444 Å, rel. 29; (2 0 0), 2θ = 23.11°, 3.849 Å, rel. 60; (2 1 1), 2θ = 28.40°, 3.143 Å, rel. 16; (2 2 0), 2θ = 32.91°, 2.722 Å, rel. 100; (4 0 0), 2θ = 47.23°, 1.925 Å, rel. 31; (4 2 0), 2θ = 53.21°, 1.721 Å, rel. 24; (4 2 2), 2θ = 58.76°, 1.571 Å, rel. 40; (4 4 0), 2θ = 69.01°, 1.361 Å, rel. 19; (6 0 0), 2θ = 73.86°, 1.283 Å, rel. 11; (6 2 0), 2θ = 78.59°, 1.217 Å, rel. 18

# 5
Tl2ReO6: theoretical powder X-ray diffraction pattern (Cu Kα (λ = 1.5418 Å)), based on the GGA-PBE geometry in Alexandria.
Intensities are scaled so that the largest is 100.

Structural model:
Unit cell a=5.4739 b=5.6618 c=9.1367 alpha=90.00 beta=90.00 gamma=90.00
Space group Pnnm (No. 58)
Asymmetric unit:
Tl 0.0000 0.0000 0.2065
Re 0.0000 0.5000 0.0000
O 0.1841 0.2201 0.0000
O 0.1992 0.6449 0.1501

Largest 10 diffraction maxima, by angle, 2θ = 15–90°:
(1 0 1), 2θ = 18.90°, 4.696 Å, rel. 59; (1 1 2), 2θ = 29.97°, 2.982 Å, rel. 100; (0 2 0), 2θ = 31.60°, 2.831 Å, rel. 23; (2 0 0), 2θ = 32.72°, 2.737 Å, rel. 19; (0 1 3), 2θ = 33.41°, 2.682 Å, rel. 26; (1 2 1), 2θ = 37.08°, 2.424 Å, rel. 16; (2 2 0), 2θ = 46.13°, 1.968 Å, rel. 22; (2 1 3), 2θ = 47.46°, 1.916 Å, rel. 28; (1 3 2), 2θ = 55.27°, 1.662 Å, rel. 20; (3 1 2), 2θ = 56.71°, 1.623 Å, rel. 18

# 6
TmTl2ReO6: theoretical powder X-ray diffraction pattern (Cu Kα (λ = 1.5418 Å)), based on the GGA-PBE geometry in Alexandria.
Intensities are scaled so that the largest is 100.

Structural model:
Unit cell a=6.5513 b=6.5513 c=5.7367 alpha=90.00 beta=90.00 gamma=120.00
Space group P-3m1 (No. 164)
Asymmetric unit:
Tm 0.0000 0.0000 0.0000
Tl 0.3333 0.6667 0.5237
Re 0.0000 0.0000 0.5000
O 0.1327 0.2655 0.2944

Largest 10 diffraction maxima, by angle, 2θ = 15–90°:
(0 0 1), 2θ = 15.45°, 5.737 Å, rel. 46; (1 0 0), 2θ = 15.62°, 5.674 Å, rel. 28; (1 0 1), 2θ = 22.03°, 4.034 Å, rel. 19; (1 1 0), 2θ = 27.22°, 3.276 Å, rel. 100; (0 0 2), 2θ = 31.18°, 2.868 Å, rel. 18; (1 1 1), 2θ = 31.45°, 2.844 Å, rel. 44; (1 1 2), 2θ = 41.86°, 2.158 Å, rel. 68; (3 0 0), 2θ = 48.11°, 1.891 Å, rel. 21; (3 0 2), 2θ = 58.45°, 1.579 Å, rel. 27; (1 4 2), 2θ = 85.41°, 1.137 Å, rel. 18

# 7
Y2TlReO8: theoretical powder X-ray diffraction pattern (Cu Kα (λ = 1.5418 Å)), based on the GGA-PBE geometry in Alexandria.
Intensities are scaled so that the largest is 100.

Structural model:
Unit cell a=6.8001 b=7.1518 c=7.0873 alpha=90.00 beta=90.00 gamma=90.00
Space group Cmmm (No. 65)
Asymmetric unit:
Y 0.0000 0.0000 0.2441
Tl 0.0000 0.5000 0.5000
Re 0.0000 0.5000 0.0000
O 0.0000 0.3163 0.1930
O 0.1998 0.0000 0.5000
O 0.2185 0.0000 0.0000

Largest 10 diffraction maxima, by angle, 2θ = 15–90°:
(1 1 0), 2θ = 18.00°, 4.928 Å, rel. 29; (0 2 0), 2θ = 24.90°, 3.576 Å, rel. 55; (2 0 0), 2θ = 26.21°, 3.400 Å, rel. 46; (1 1 2), 2θ = 31.09°, 2.877 Å, rel. 100; (0 2 2), 2θ = 35.67°, 2.517 Å, rel. 12; (2 2 0), 2θ = 36.46°, 2.464 Å, rel. 25; (1 3 2), 2θ = 47.90°, 1.899 Å, rel. 38; (3 1 2), 2θ = 49.40°, 1.845 Å, rel. 34; (3 3 2), 2θ = 62.30°, 1.490 Å, rel. 20; (2 2 4), 2θ = 64.81°, 1.439 Å, rel. 12

# 8
Tm3ReO7: theoretical powder X-ray diffraction pattern (Cu Kα (λ = 1.5418 Å)), based on the GGA-PBE geometry in Alexandria.
Intensities are scaled so that the largest is 100.

Structural model:
Unit cell a=7.4678 b=10.3976 c=7.3262 alpha=90.00 beta=90.00 gamma=90.00
Space group C222_1 (No. 20)
Asymmetric unit:
Tm 0.0372 0.0000 0.0000
Tm 0.2322 0.2670 0.7568
Re 0.0015 0.5000 0.0000
O 0.0000 0.1306 0.2500
O 0.0000 0.1379 0.7500
O 0.0000 0.4240 0.7500
O 0.1818 0.3705 0.0388
O 0.2061 0.3770 0.4753

Largest 10 diffraction maxima, by angle, 2θ = 15–90°:
(2 2 0), 2θ = 29.45°, 3.033 Å, rel. 100; (0 2 2), 2θ = 29.84°, 2.994 Å, rel. 100; (2 0 2), 2θ = 34.29°, 2.615 Å, rel. 49; (0 4 0), 2θ = 34.50°, 2.599 Å, rel. 23; (4 0 0), 2θ = 48.78°, 1.867 Å, rel. 12; (2 4 2), 2θ = 49.44°, 1.844 Å, rel. 55; (0 0 4), 2θ = 49.78°, 1.832 Å, rel. 16; (4 2 2), 2θ = 58.24°, 1.584 Å, rel. 23; (2 6 0), 2θ = 58.74°, 1.572 Å, rel. 12; (2 2 4), 2θ = 58.92°, 1.567 Å, rel. 41